This entry pairs a crystal structure of TbPrNd6Y2 with its simulated powder XRD pattern. Radiation: Cu Kα, 1.54184 Å. Structure: a crystal structure in Alexandria, relaxed with PBE.

Largest 8 diffraction maxima, in order of falling intensity, 2θ from 15° to 90°:
- 2θ 30.61, d 2.921, intensity 1000, hkl 2 2 2
- 2θ 30.12, d 2.967, intensity 654, hkl 0 2 3
- 2θ 29.68, d 3.010, intensity 617, hkl 3 1 -1
- 2θ 27.95, d 3.193, intensity 442, hkl 1 3 2
- 2θ 30.84, d 2.899, intensity 398, hkl 2 4 -1
- 2θ 33.26, d 2.694, intensity 337, hkl 1 3 -3
- 2θ 33.89, d 2.645, intensity 237, hkl 2 2 -3
- 2θ 31.67, d 2.825, intensity 228, hkl 1 5 -1

Structure:
a = 9.3861 Å, b = 15.3719 Å, c = 9.7309 Å
α = 90.00°, β = 97.20°, γ = 90.00°
Space group C2/c (No. 15)
Asymmetric unit:
Tb: 0.0000 0.0322 0.2500 x4
Pr: 0.0000 0.4067 0.7500 x4
Nd: 0.0644 0.1751 0.9431 x8
Nd: 0.0956 0.3902 0.1189 x8
Nd: 0.2093 0.2252 0.3159 x8
Y: 0.2447 0.0473 0.5477 x8